For ScW2O8, a DFT-relaxed cell (GGA+U, Alexandria) gives the simulated PXRD pattern in this record (a wavelength of 1.5418 Å).

Main lines, in order of rising 2θ (10 to 80 degrees two-theta):
2θ (°)  Rel. int.
17.0  75
26.0  48
31.3  100
41.2  26
51.6  40
63.4  27

Structure:
Lattice parameters (Å, degrees): 6.225 6.225 6.225 134.27 134.27 66.67
Sites, in units of the cell vectors:
Sc 0.000 0.000 0.000
W 0.250 0.750 0.500
W 0.750 0.250 0.500
O 0.107 0.107 0.490
O 0.107 0.617 0.000
O 0.383 0.383 0.490
O 0.383 0.893 0.000
O 0.617 0.107 0.000
O 0.617 0.617 0.510
O 0.893 0.383 0.000
O 0.893 0.893 0.510